The following is a computed XRD peak list of W3Se2ClO8. It was derived from a PBE+U-relaxed structure, using Cu Kα.
Intensities are scaled so that the largest is 100.

Crystal structure
a b c (Å): 5.925 11.685 8.721
angles (deg): 90.00 90.09 90.00
Atoms (fractional coordinates):
W: 0.000 0.000 0.000
W: 0.222 0.250 0.208
W: 0.222 0.750 0.208
W: 0.499 0.500 0.418
W: 0.721 0.250 0.210
W: 0.721 0.750 0.210
Se: 0.469 0.223 0.558
Se: 0.469 0.777 0.558
Se: 0.969 0.277 0.860
Se: 0.969 0.723 0.860
Cl: 0.418 0.000 0.032
Cl: 0.913 0.500 0.377
O: 0.201 0.297 0.980
O: 0.201 0.703 0.980
O: 0.239 0.203 0.436
O: 0.239 0.797 0.436
O: 0.468 0.367 0.249
O: 0.468 0.633 0.249
O: 0.469 0.369 0.588
O: 0.469 0.631 0.588
O: 0.700 0.203 0.438
O: 0.700 0.797 0.438
O: 0.740 0.297 0.982
O: 0.740 0.703 0.982
O: 0.969 0.132 0.830
O: 0.969 0.868 0.830
O: 0.975 0.134 0.170
O: 0.975 0.866 0.170

Most intense lines, 15 to 90 degrees two-theta, in order of rising 2θ:
2theta, intensity, h k l
15.17, 98, 0 2 0
18.10, 100, 1 0 -1
18.28, 45, 0 2 1
25.04, 41, 0 3 1
25.49, 83, 0 2 2
30.60, 60, 0 4 0
33.93, 44, 2 2 0
34.46, 85, 0 2 3
35.50, 97, 2 2 1
48.49, 51, 2 4 -2